The following is a calculated X-ray powder pattern of ScZn6O6. It was derived from a DFT-relaxed cell (GGA-PBE, Alexandria), using Cu Kα, 1.54184 Å.
Intensities are scaled so that the largest is 100.

Cell and atoms:
```
data_ScZn6O6
_cell_length_a 5.764
_cell_length_b 5.764
_cell_length_c 5.764
_cell_angle_alpha 90.00
_cell_angle_beta 90.00
_cell_angle_gamma 90.00
_space_group_name_H-M_alt 'P m -3'
_space_group_IT_number 200
_space_group_name_Hall '-P 2 2 3'
loop_
_atom_site_label
_atom_site_type_symbol
_atom_site_fract_x
_atom_site_fract_y
_atom_site_fract_z
Sc1 Sc 0.000 0.000 0.000
Zn1 Zn 0.000 0.256 0.500
O1 O 0.000 0.500 0.245
```

Main lines, in order of rising 2θ (2θ from 15° to 90°):
2θ (°)  d/Å  I (rel.)  hkl
21.8  4.076  59.2  1 1 0
31.0  2.882  34.2  2 0 0
34.8  2.578  100.0  2 1 0
38.2  2.353  74.6  2 1 1
50.0  1.823  12.1  3 1 0
55.2  1.664  37.5  2 2 2
57.7  1.599  24.9  3 0 2
60.1  1.540  35.6  3 2 1
64.7  1.441  23.0  4 0 0
75.6  1.258  21.2  4 2 1